# 1
The following is a calculated X-ray diffraction stick pattern of Pr8Pt2Rh3. It was derived from a cell relaxed with PBE, using λ = 1.5418 Å (Cu Kα).
Lines closer than 0.1° are merged.

Structural model:
```
Pr8Pt2Rh3
1.0
8.705 0.000 0.000
0.000 5.053 0.000
-2.901 0.000 8.260
Pr Pt Rh
8 2 3
Direct
0.123 0.000 0.377
0.125 0.500 0.870
0.370 0.500 0.624
0.377 0.000 0.123
0.623 0.000 0.877
0.630 0.500 0.376
0.875 0.500 0.130
0.877 0.000 0.623
0.252 0.500 0.247
0.748 0.500 0.753
0.000 0.500 0.500
0.253 0.000 0.752
0.747 0.000 0.248
```

Largest 10 diffraction maxima, by angle, 10° ≤ 2θ ≤ 80°:
d/Å, two_theta, Rel. int.
4.124, 21.55, 19
3.568, 24.96, 11
2.526, 35.54, 100
2.516, 35.68, 49
1.785, 51.16, 18
1.781, 51.31, 9
1.459, 63.78, 23
1.456, 63.94, 18
1.453, 64.06, 9
1.263, 75.21, 8

# 2
The following is a calculated X-ray diffraction stick pattern of Pr2Ga2Ni3. It was derived from a cell relaxed with PBE, using λ = 1.5418 Å (Cu Kα).
Lines closer than 0.1° are merged.

Structural model:
```
Pr2Ga2Ni3
1.0
2.057 -9.095 0.000
2.057 9.095 0.000
0.000 0.000 6.974
Pr Ga Ni
4 4 6
Direct
0.059 0.941 0.750
0.150 0.850 0.250
0.850 0.150 0.750
0.941 0.059 0.250
0.309 0.691 0.060
0.309 0.691 0.440
0.691 0.309 0.560
0.691 0.309 0.940
0.226 0.774 0.750
0.442 0.558 0.572
0.442 0.558 0.928
0.558 0.442 0.072
0.558 0.442 0.428
0.774 0.226 0.250
```

Largest 10 diffraction maxima, by angle, 10° ≤ 2θ ≤ 80°:
d/Å, two_theta, Rel. int.
2.780, 32.19, 24
2.632, 34.06, 81
2.538, 35.36, 100
2.436, 36.90, 14
2.274, 39.64, 14
2.070, 43.73, 35
2.057, 44.03, 33
1.609, 57.25, 11
1.459, 63.79, 22
1.242, 76.76, 14

# 3
The following is a calculated X-ray diffraction stick pattern of Hg3HBr8. It was derived from a cell relaxed with PBE, using λ = 1.5418 Å (Cu Kα).
Lines closer than 0.1° are merged.

Structural model:
```
Hg3HBr8
1.0
11.415 -2.146 0.000
11.415 2.146 0.000
-3.948 0.000 9.795
Hg H Br
3 1 8
Direct
0.000 0.000 0.000
0.099 0.099 0.457
0.310 0.310 0.560
0.376 0.376 0.157
0.120 0.120 0.024
0.176 0.176 0.318
0.236 0.236 0.689
0.308 0.308 0.101
0.446 0.446 0.839
0.571 0.571 0.578
0.858 0.858 0.482
0.980 0.980 0.228
```

Largest 10 diffraction maxima, by angle, 10° ≤ 2θ ≤ 80°:
d/Å, two_theta, Rel. int.
5.617, 15.78, 40
4.897, 18.11, 53
4.207, 21.12, 100
4.065, 21.87, 41
3.974, 22.37, 38
3.068, 29.10, 42
2.695, 33.24, 42
2.584, 34.72, 34
2.146, 42.10, 35
2.088, 43.33, 48